# PrHo14Th
Theoretical powder XRD pattern, λ = 1.5418 Å (Cu Kα). Input: a structure optimized by DFT (GGA-PBE).

Cell and atoms:
a = 11.467 Å, b = 7.106 Å, c = 7.106 Å
α = 60.22°, β = 90.00°, γ = 90.00°
Fractional positions:
Pr  0.000  0.000  0.000
Ho  0.000  0.500  0.999
Ho  0.000  0.999  0.500
Ho  0.250  0.664  0.664
Ho  0.253  0.167  0.167
Ho  0.253  0.169  0.664
Ho  0.253  0.664  0.169
Ho  0.500  0.332  0.332
Ho  0.500  0.333  0.833
Ho  0.500  0.832  0.832
Ho  0.500  0.833  0.333
Ho  0.747  0.167  0.167
Ho  0.747  0.169  0.664
Ho  0.747  0.664  0.169
Ho  0.750  0.664  0.664
Th  0.000  0.498  0.498

The 10 most intense peaks (2θ from 5° to 70°), low angle first:
d [Å]	I_rel
2.975	44.5
2.867	34.7
2.714	100.0
2.399	24.7
1.840	11.3
1.777	17.3
1.624	21.5
1.514	10.2
1.510	20.3
1.489	10.8